For ScNbW4, a crystal structure in Alexandria, relaxed with PBE gives the calculated powder X-ray diffraction pattern in this record (Cu Kα).

Top 6 peaks for 10° ≤ 2θ ≤ 80°, by intensity:
d/Å	I (rel.)
2.281	100
2.184	73
4.369	58
1.456	32
1.338	32
1.892	23

Structural model:
```
6
Lattice="0.000 3.783 3.783 3.783 0.000 3.783 3.783 3.783 0.000" Properties=species:S:1:pos:R:3 pbc="T T T"
Sc 0.000 0.000 0.000
Nb 1.892 1.892 1.892
W 4.730 2.837 2.837
W 2.837 4.730 2.837
W 2.837 2.837 4.730
W 4.730 4.730 4.730
```